No. 1
Starting from the PBE geometry in Alexandria, the powder X-ray diffraction pattern of Tl3Cu2SnBr8 was calculated for Cu Ka.

Structural model:
```
Tl3Cu2SnBr8
1.0
7.756 0.000 0.000
-3.878 6.717 0.000
0.000 0.000 9.388
Tl Cu Sn Br
3 2 1 8
Direct
0.000 0.000 0.000
0.333 0.667 0.619
0.667 0.333 0.381
0.333 0.667 0.193
0.667 0.333 0.807
0.000 0.000 0.500
0.170 0.339 0.314
0.170 0.830 0.314
0.333 0.667 0.946
0.339 0.170 0.686
0.661 0.830 0.314
0.667 0.333 0.054
0.830 0.170 0.686
0.830 0.661 0.686
```

Most intense lines, 15° ≤ 2θ ≤ 90°, by angle:
22.93°, rel. 1000
23.12°, rel. 288
28.22°, rel. 596
29.89°, rel. 335
31.54°, rel. 310
32.79°, rel. 695
40.28°, rel. 233
46.04°, rel. 213
46.85°, rel. 465
47.25°, rel. 257



No. 2
Starting from the PBE geometry in Alexandria, the powder X-ray diffraction pattern of ScNbNi2Sn2 was calculated for Cu Ka.

Structural model:
```
ScNbNi2Sn2
1.0
2.143 1.237 7.032
-2.143 1.237 7.032
0.000 -2.475 7.032
Sc Nb Ni Sn
1 1 2 2
Direct
0.000 0.000 0.000
0.498 0.498 0.498
0.378 0.378 0.378
0.871 0.871 0.871
0.249 0.249 0.249
0.749 0.749 0.749
```

Most intense lines, 15° ≤ 2θ ≤ 90°, by angle:
25.33°, rel. 127
25.44°, rel. 400
29.42°, rel. 645
42.03°, rel. 999
42.16°, rel. 1000
49.85°, rel. 193
52.25°, rel. 134
61.05°, rel. 325
76.70°, rel. 162
77.01°, rel. 496



No. 3
Starting from the PBE geometry in Alexandria, the powder X-ray diffraction pattern of La4TbSm3Te8 was calculated for Cu Ka.

Structural model:
```
La4TbSm3Te8
1.0
4.508 2.602 7.346
-4.508 2.602 7.346
0.000 -5.205 7.346
La Tb Sm Te
4 1 3 8
Direct
0.000 0.000 0.000
0.000 0.500 0.500
0.500 0.000 0.500
0.500 0.500 0.000
0.500 0.500 0.500
0.000 0.000 0.500
0.000 0.500 0.000
0.500 0.000 0.000
0.247 0.247 0.247
0.249 0.745 0.745
0.255 0.255 0.751
0.255 0.751 0.255
0.745 0.249 0.745
0.745 0.745 0.249
0.751 0.255 0.255
0.753 0.753 0.753
```

Most intense lines, 15° ≤ 2θ ≤ 90°, by angle:
24.20°, rel. 11
28.01°, rel. 1000
40.03°, rel. 762
49.57°, rel. 273
57.90°, rel. 128
65.53°, rel. 349
72.69°, rel. 194
72.82°, rel. 61
86.33°, rel. 42
86.48°, rel. 40



No. 4
Starting from the PBE geometry in Alexandria, the powder X-ray diffraction pattern of Pr2HoF11 was calculated for Cu Ka.

Structural model:
```
Pr2HoF11
1.0
-4.377 5.247 5.662
4.377 -5.247 5.662
4.377 5.247 -5.662
Pr Ho F
4 2 22
Direct
0.191 0.166 0.357
0.309 0.666 0.975
0.691 0.334 0.025
0.809 0.834 0.643
0.250 0.750 0.500
0.750 0.250 0.500
0.000 0.000 0.000
0.019 0.450 0.766
0.063 0.828 0.622
0.184 0.950 0.431
0.186 0.894 0.081
0.206 0.441 0.378
0.294 0.672 0.235
0.314 0.394 0.708
0.316 0.747 0.766
0.437 0.059 0.765
0.481 0.247 0.431
0.500 0.500 0.000
0.519 0.753 0.569
0.563 0.941 0.235
0.684 0.253 0.234
0.686 0.606 0.292
0.706 0.328 0.765
0.794 0.559 0.622
0.814 0.106 0.919
0.816 0.050 0.569
0.937 0.172 0.378
0.981 0.550 0.234
```

Most intense lines, 15° ≤ 2θ ≤ 90°, by angle:
20.51°, rel. 1000
21.24°, rel. 356
23.11°, rel. 766
23.38°, rel. 509
25.72°, rel. 308
27.46°, rel. 205
41.71°, rel. 243
42.35°, rel. 266
43.25°, rel. 256
43.43°, rel. 428



No. 5
Starting from the PBE geometry in Alexandria, the powder X-ray diffraction pattern of Sm7Tm2Sc2 was calculated for Cu Ka.

Structural model:
```
Sm7Tm2Sc2
1.0
5.437 -5.720 0.000
5.437 5.720 0.000
-2.237 0.000 5.631
Sm Tm Sc
7 2 2
Direct
0.000 0.000 0.000
0.060 0.581 0.809
0.419 0.940 0.191
0.421 0.421 0.204
0.579 0.579 0.796
0.581 0.060 0.809
0.940 0.419 0.191
0.214 0.214 0.580
0.786 0.786 0.420
0.222 0.778 0.500
0.778 0.222 0.500
```

Most intense lines, 15° ≤ 2θ ≤ 90°, by angle:
26.50°, rel. 393
30.66°, rel. 345
31.27°, rel. 535
31.92°, rel. 1000
33.07°, rel. 174
34.02°, rel. 290
34.68°, rel. 289
36.71°, rel. 124
38.05°, rel. 153
56.07°, rel. 180



No. 6
Starting from the PBE geometry in Alexandria, the powder X-ray diffraction pattern of BeH2Br2O was calculated for Cu Ka.

Structural model:
```
BeH2Br2O
1.0
7.257 -3.624 0.000
7.257 3.624 0.000
0.000 0.000 4.669
Be H Br O
2 4 4 2
Direct
0.134 0.866 0.500
0.866 0.134 0.000
0.110 0.779 0.031
0.221 0.890 0.031
0.779 0.110 0.531
0.890 0.221 0.531
0.122 0.627 0.657
0.373 0.878 0.657
0.627 0.122 0.157
0.878 0.373 0.157
0.105 0.895 0.136
0.895 0.105 0.636
```

Most intense lines, 15° ≤ 2θ ≤ 90°, by angle:
23.48°, rel. 1000
24.55°, rel. 908
29.30°, rel. 792
34.99°, rel. 435
38.57°, rel. 542
42.59°, rel. 292
46.26°, rel. 488
53.06°, rel. 357
56.77°, rel. 219
70.75°, rel. 266



No. 7
Starting from the PBE geometry in Alexandria, the powder X-ray diffraction pattern of Nd7Sn5Pb was calculated for Cu Ka.

Structural model:
```
Nd7Sn5Pb
1.0
-3.185 5.828 5.453
3.185 -5.828 5.453
3.185 5.828 -5.453
Nd Sn Pb
7 5 1
Direct
0.000 0.000 0.000
0.284 0.615 0.669
0.391 0.391 0.000
0.436 0.098 0.337
0.761 0.098 0.663
0.844 0.344 0.500
0.946 0.615 0.331
0.104 0.112 0.494
0.104 0.610 0.993
0.352 0.852 0.500
0.618 0.112 0.007
0.618 0.610 0.506
0.691 0.691 0.000
```

Most intense lines, 15° ≤ 2θ ≤ 90°, by angle:
26.88°, rel. 662
31.57°, rel. 956
32.03°, rel. 601
32.56°, rel. 398
32.85°, rel. 427
34.91°, rel. 575
36.11°, rel. 1000
36.67°, rel. 497
55.40°, rel. 607
60.79°, rel. 380



No. 8
Starting from the PBE geometry in Alexandria, the powder X-ray diffraction pattern of LiPmP2Pt7 was calculated for Cu Ka.

Structural model:
```
LiPmP2Pt7
1.0
-2.060 2.060 12.447
2.060 -2.060 12.447
2.060 2.060 -12.447
Li Pm P Pt
1 1 2 7
Direct
0.000 0.000 0.000
0.250 0.750 0.500
0.613 0.113 0.500
0.887 0.387 0.500
0.161 0.161 0.000
0.338 0.338 0.000
0.526 0.026 0.500
0.662 0.662 0.000
0.750 0.250 0.500
0.839 0.839 0.000
0.974 0.474 0.500
```

Most intense lines, 15° ≤ 2θ ≤ 90°, by angle:
21.42°, rel. 262
33.97°, rel. 1000
36.08°, rel. 152
37.73°, rel. 560
42.50°, rel. 229
43.95°, rel. 541
58.12°, rel. 157
63.90°, rel. 180
74.38°, rel. 214
76.20°, rel. 151